# 1
Structure and simulated X-ray powder pattern of MgCd2 (a DFT-relaxed cell (GGA-PBE, the Materials Project); copper Kα).
No peak broadening, texture or thermal motion is included.

Most intense lines, 2θ = 10–90°, sorted by position:
2θ/deg	Rel. int.
20.64	34
32.44	24
35.24	38
37.05	100
37.93	47
70.74	32

Crystal structure
a b c (Å): 8.200 8.200 5.094
angles (deg): 90.00 90.00 157.36
Atoms (fractional coordinates):
Mg 0.111 0.889 0.750
Mg 0.889 0.111 0.250
Cd 0.222 0.778 0.250
Cd 0.445 0.555 0.750
Cd 0.555 0.445 0.250
Cd 0.778 0.222 0.750


# 2
Structure and simulated X-ray powder pattern of Mg3Cd (a DFT-relaxed cell (GGA-PBE, the Materials Project); copper Kα).
No peak broadening, texture or thermal motion is included.

Most intense lines, 2θ = 10–90°, sorted by position:
2θ/deg	Rel. int.
16.22	28
23.76	69
28.28	30
32.77	24
34.91	27
37.26	100

Crystal structure
a b c (Å): 6.311 6.311 5.140
angles (deg): 90.00 90.00 120.00
Atoms (fractional coordinates):
Mg 0.168 0.335 0.250
Mg 0.168 0.832 0.250
Mg 0.335 0.168 0.750
Mg 0.665 0.832 0.250
Mg 0.832 0.168 0.750
Mg 0.832 0.665 0.750
Cd 0.333 0.667 0.750
Cd 0.667 0.333 0.250


# 3
Structure and simulated X-ray powder pattern of Mg3Cd (a DFT-relaxed cell (GGA-PBE, the Materials Project); copper Kα).
No peak broadening, texture or thermal motion is included.

Most intense lines, 2θ = 10–90°, sorted by position:
2θ/deg	Rel. int.
17.20	45
18.61	75
32.53	37
34.81	37
37.02	100
37.74	47

Crystal structure
a b c (Å): 6.031 6.031 6.031
angles (deg): 149.18 62.52 127.06
Atoms (fractional coordinates):
Mg 0.000 0.000 0.000
Mg 0.087 0.336 0.751
Mg 0.584 0.336 0.249
Cd 0.503 0.003 0.500


# 4
Structure and simulated X-ray powder pattern of Mg3Cd (a DFT-relaxed cell (GGA-PBE, the Materials Project); copper Kα).
No peak broadening, texture or thermal motion is included.

Most intense lines, 2θ = 10–90°, sorted by position:
2θ/deg	Rel. int.
19.93	65
28.33	56
34.88	100
40.49	49
58.60	31
70.04	36

Crystal structure
a b c (Å): 4.455 4.455 4.455
angles (deg): 90.00 90.00 90.00
Atoms (fractional coordinates):
Mg 0.000 0.000 0.500
Mg 0.000 0.500 0.000
Mg 0.500 0.000 0.000
Cd 0.500 0.500 0.500


# 5
Structure and simulated X-ray powder pattern of Mg3Cd (a DFT-relaxed cell (GGA-PBE, the Materials Project); copper Kα).
No peak broadening, texture or thermal motion is included.

Most intense lines, 2θ = 10–90°, sorted by position:
2θ/deg	Rel. int.
16.42	49
17.41	43
24.02	41
32.32	37
36.94	100
37.72	47

Crystal structure
a b c (Å): 3.227 5.093 5.398
angles (deg): 90.00 90.00 90.00
Atoms (fractional coordinates):
Mg 0.000 0.000 0.000
Mg 0.000 0.500 0.335
Mg 0.500 0.000 0.501
Cd 0.500 0.500 0.833


# 6
Structure and simulated X-ray powder pattern of MgCd2 (a DFT-relaxed cell (GGA-PBE, the Materials Project); copper Kα).
No peak broadening, texture or thermal motion is included.

Most intense lines, 2θ = 10–90°, sorted by position:
2θ/deg	Rel. int.
33.20	23
33.34	30
37.28	100
59.31	16
62.19	21
69.76	22

Crystal structure
a b c (Å): 3.116 3.116 16.126
angles (deg): 90.00 90.00 120.00
Atoms (fractional coordinates):
Mg 0.333 0.667 0.416
Mg 0.667 0.333 0.584
Cd 0.333 0.667 0.084
Cd 0.333 0.667 0.749
Cd 0.667 0.333 0.251
Cd 0.667 0.333 0.916


# 7
Structure and simulated X-ray powder pattern of MgCd2 (a DFT-relaxed cell (GGA-PBE, the Materials Project); copper Kα).
No peak broadening, texture or thermal motion is included.

Most intense lines, 2θ = 10–90°, sorted by position:
2θ/deg	Rel. int.
20.23	50
32.88	44
34.12	100
36.48	91
37.87	82
38.31	84

Crystal structure
a b c (Å): 5.458 5.458 6.292
angles (deg): 118.82 118.82 57.54
Atoms (fractional coordinates):
Mg 0.084 0.916 0.750
Mg 0.916 0.084 0.250
Cd 0.248 0.420 0.256
Cd 0.420 0.248 0.756
Cd 0.580 0.752 0.244
Cd 0.752 0.580 0.744


# 8
Structure and simulated X-ray powder pattern of MgCd2 (a DFT-relaxed cell (GGA-PBE, the Materials Project); copper Kα).
No peak broadening, texture or thermal motion is included.

Most intense lines, 2θ = 10–90°, sorted by position:
2θ/deg	Rel. int.
33.07	31
34.22	27
37.37	100
48.33	21
63.36	20
70.07	19

Crystal structure
a b c (Å): 6.102 6.102 6.102
angles (deg): 52.70 52.70 52.70
Atoms (fractional coordinates):
Mg 0.167 0.167 0.167
Mg 0.833 0.833 0.833
Cd 0.000 0.334 0.666
Cd 0.334 0.666 0.000
Cd 0.500 0.500 0.500
Cd 0.666 0.000 0.334


# 9
Structure and simulated X-ray powder pattern of Mg3Cd (a DFT-relaxed cell (GGA-PBE, the Materials Project); copper Kα).
No peak broadening, texture or thermal motion is included.

Most intense lines, 2θ = 10–90°, sorted by position:
2θ/deg	Rel. int.
21.76	51
25.18	27
35.90	100
42.37	27
51.68	17
64.53	34

Crystal structure
a b c (Å): 5.003 5.003 5.003
angles (deg): 60.00 60.00 60.00
Atoms (fractional coordinates):
Mg 0.000 0.000 0.000
Mg 0.250 0.250 0.250
Mg 0.750 0.750 0.750
Cd 0.500 0.500 0.500


# 10
Structure and simulated X-ray powder pattern of MgCd2 (a DFT-relaxed cell (GGA-PBE, the Materials Project); copper Kα).
No peak broadening, texture or thermal motion is included.

Most intense lines, 2θ = 10–90°, sorted by position:
2θ/deg	Rel. int.
11.02	58
32.48	29
33.27	23
34.67	42
36.94	100
37.86	54

Crystal structure
a b c (Å): 8.185 8.185 5.175
angles (deg): 90.00 90.00 157.34
Atoms (fractional coordinates):
Mg 0.221 0.779 0.750
Mg 0.779 0.221 0.250
Cd 0.115 0.885 0.250
Cd 0.445 0.555 0.250
Cd 0.555 0.445 0.750
Cd 0.885 0.115 0.750